Record 1
Gd3TaO7: computed X-ray powder pattern (CuKα), based on a PBE-relaxed structure.

The 10 most intense peaks (2θ = 10–80°), in order of rising 2θ:
2θ/deg	I/Imax	index
28.69	94	0 2 2
28.93	100	2 2 0
33.39	72	0 4 0
47.93	49	2 4 2
48.26	17	4 0 0
56.70	16	2 2 4
56.80	11	0 6 2
56.94	12	2 6 0
57.11	27	4 2 2
59.94	10	4 4 0

Structure:
a b c (Å): 7.5427 10.7416 7.6363
angles (deg): 90.00 90.00 90.00
Sites, in units of the cell vectors:
Gd: 0.0138 0.2500 0.2059
Gd: 0.2482 0.0209 0.5356
Gd: 0.2482 0.4791 0.5356
Gd: 0.2518 0.5209 0.0356
Gd: 0.2518 0.9791 0.0356
Gd: 0.4862 0.7500 0.7059
Gd: 0.5138 0.2500 0.2941
Gd: 0.7482 0.0209 0.9644
Gd: 0.7482 0.4791 0.9644
Gd: 0.7518 0.5209 0.4644
Gd: 0.7518 0.9791 0.4644
Gd: 0.9862 0.7500 0.7941
Ta: 0.0017 0.2500 0.7498
Ta: 0.4983 0.7500 0.2498
Ta: 0.5017 0.2500 0.7502
Ta: 0.9983 0.7500 0.2502
O: 0.0359 0.1261 0.9525
O: 0.0359 0.3739 0.9525
O: 0.0405 0.6122 0.4101
O: 0.0405 0.8878 0.4101
O: 0.2432 0.6166 0.7691
O: 0.2432 0.8834 0.7691
O: 0.2479 0.2500 0.6704
O: 0.2521 0.7500 0.1704
O: 0.2568 0.1166 0.2691
O: 0.2568 0.3834 0.2691
O: 0.4595 0.1122 0.9101
O: 0.4595 0.3878 0.9101
O: 0.4641 0.6261 0.4525
O: 0.4641 0.8739 0.4525
O: 0.5359 0.1261 0.5475
O: 0.5359 0.3739 0.5475
O: 0.5405 0.6122 0.0899
O: 0.5405 0.8878 0.0899
O: 0.7432 0.6166 0.7309
O: 0.7432 0.8834 0.7309
O: 0.7479 0.2500 0.8296
O: 0.7521 0.7500 0.3296
O: 0.7568 0.1166 0.2309
O: 0.7568 0.3834 0.2309
O: 0.9595 0.1122 0.5899
O: 0.9595 0.3878 0.5899
O: 0.9641 0.6261 0.0475
O: 0.9641 0.8739 0.0475

=====

Record 2
Tb3GdO: computed X-ray powder pattern (CuKα), based on a PBE-relaxed structure.

The 6 most intense peaks (2θ = 10–80°), in order of rising 2θ:
2θ/deg	I/Imax	index
31.23	100	1 1 1
36.21	56	2 0 0
52.15	40	2 2 0
62.05	43	3 1 1
65.14	13	2 2 2
76.86	6	4 0 0

Structure:
a b c (Å): 4.9610 4.9610 4.9610
angles (deg): 90.00 90.00 90.00
Sites, in units of the cell vectors:
Tb: 0.0000 0.0000 0.5000
Tb: 0.0000 0.5000 0.0000
Tb: 0.5000 0.0000 0.0000
Gd: 0.5000 0.5000 0.5000
O: 0.0000 0.0000 0.0000

=====

Record 3
Gd2TiZnO6: computed X-ray powder pattern (CuKα), based on a PBE-relaxed structure.

The 10 most intense peaks (2θ = 10–80°), in order of rising 2θ:
2θ/deg	I/Imax	index
22.66	36	1 1 -1
22.88	25	0 0 2
31.31	36	0 2 0
32.31	100	1 1 1
32.53	99	1 1 -3
33.19	48	2 0 -2
33.41	27	0 2 1
46.27	34	2 2 -2
46.73	28	0 0 4
52.27	37	1 3 0

Structure:
a b c (Å): 5.3993 5.7141 9.4262
angles (deg): 90.00 124.43 90.00
Sites, in units of the cell vectors:
Gd: 0.2293 0.0672 0.2479
Gd: 0.2293 0.4328 0.7479
Gd: 0.7707 0.5672 0.2521
Gd: 0.7707 0.9328 0.7521
Ti: 0.5000 0.0000 0.0000
Ti: 0.5000 0.5000 0.5000
Zn: 0.0000 0.0000 0.5000
Zn: 0.0000 0.5000 0.0000
O: 0.1497 0.1854 0.9458
O: 0.1497 0.3146 0.4458
O: 0.2557 0.7077 0.9383
O: 0.2557 0.7923 0.4383
O: 0.3719 0.0414 0.7590
O: 0.3719 0.4586 0.2590
O: 0.6281 0.5414 0.7410
O: 0.6281 0.9586 0.2410
O: 0.7443 0.2077 0.5617
O: 0.7443 0.2923 0.0617
O: 0.8503 0.6854 0.5542
O: 0.8503 0.8146 0.0542

=====

> Number 1 is which compound?

Gd3TaO7